# 1
Calculated PXRD pattern of Ce9Sb5O5 for a wavelength of 1.5418 Å, from DFT lattice parameters and positions (PBE).

The 10 most intense peaks (10° ≤ 2θ ≤ 90°), sorted by position:
hkl 3 1 0, d 3.226, 2θ 27.7, I = 50
hkl 0 0 3, d 3.060, 2θ 29.2, I = 69
hkl 3 1 1, d 3.042, 2θ 29.4, I = 98
hkl 3 1 2, d 2.639, 2θ 34.0, I = 100
hkl 2 4 0, d 2.280, 2θ 39.5, I = 67
hkl 3 1 3, d 2.220, 2θ 40.6, I = 20
hkl 2 4 3, d 1.828, 2θ 49.9, I = 54
hkl 6 2 0, d 1.612, 2θ 57.1, I = 20
hkl 3 1 5, d 1.595, 2θ 57.8, I = 28
hkl 6 2 3, d 1.426, 2θ 65.5, I = 33

Structure:
```
data_Ce9Sb5O5
_chemical_formula_sum 'Ce18 Sb10 O10'
_space_group_name_H-M_alt 'P 4/n'
_space_group_IT_number 85
_cell_length_a 10.197
_cell_length_b 10.197
_cell_length_c 9.180
_cell_angle_alpha 90.00
_cell_angle_beta 90.00
_cell_angle_gamma 90.00
loop_
_space_group_symop_operation_xyz
'x,y,z'
'-x,-y,-z'
'-y+1/2,x,z'
'y+1/2,-x,-z'
'-x+1/2,-y+1/2,z'
'x+1/2,y+1/2,-z'
'y,-x+1/2,z'
'-y,x+1/2,-z'
loop_
_atom_site_label
_atom_site_type_symbol
_atom_site_fract_x
_atom_site_fract_y
_atom_site_fract_z
Ce1 Ce 0.023 0.330 0.001
Ce2 Ce 0.047 0.854 0.656
Ce3 Ce 0.250 0.250 0.670
Sb1 Sb 0.053 0.847 0.298
Sb2 Sb 0.250 0.250 0.308
O1 O 0.027 0.872 0.906
O2 O 0.250 0.250 0.924
```



# 2
Calculated PXRD pattern of PdCl2 for a wavelength of 1.5418 Å, from DFT lattice parameters and positions (PBE).

The 10 most intense peaks (10° ≤ 2θ ≤ 90°), sorted by position:
hkl 0 0 2, d 5.929, 2θ 14.9, I = 100
hkl 1 0 -1, d 4.170, 2θ 21.3, I = 77
hkl 1 0 1, d 4.024, 2θ 22.1, I = 91
hkl 0 1 1, d 3.286, 2θ 27.1, I = 14
hkl 0 1 3, d 2.586, 2θ 34.7, I = 57
hkl 1 1 -2, d 2.483, 2θ 36.2, I = 30
hkl 1 1 2, d 2.420, 2θ 37.1, I = 17
hkl 1 1 -4, d 2.027, 2θ 44.7, I = 30
hkl 1 1 4, d 1.960, 2θ 46.3, I = 24
hkl 0 1 5, d 1.949, 2θ 46.6, I = 22

Structure:
```
data_PdCl2
_chemical_formula_sum 'Pd2 Cl4'
_space_group_name_H-M_alt 'P 1 2/m 1'
_space_group_IT_number 10
_cell_length_a 4.370
_cell_length_b 3.420
_cell_length_c 11.875
_cell_angle_alpha 90.00
_cell_angle_beta 93.16
_cell_angle_gamma 90.00
loop_
_space_group_symop_operation_xyz
'x,y,z'
'-x,-y,-z'
'-x,y,-z'
'x,-y,z'
loop_
_atom_site_label
_atom_site_type_symbol
_atom_site_fract_x
_atom_site_fract_y
_atom_site_fract_z
Pd1 Pd 0.000 0.000 0.000
Pd2 Pd 0.500 0.500 0.500
Cl1 Cl 0.057 0.500 0.133
Cl2 Cl 0.366 0.000 0.621
```



# 3
Calculated PXRD pattern of Li3Zn2SbO6 for a wavelength of 1.5418 Å, from DFT lattice parameters and positions (PBE).

The 10 most intense peaks (10° ≤ 2θ ≤ 90°), sorted by position:
hkl 0 0 1, d 4.944, 2θ 17.9, I = 100
hkl 2 0 -1, d 2.623, 2θ 34.2, I = 18
hkl 1 3 0, d 2.607, 2θ 34.4, I = 36
hkl 1 3 -1, d 2.500, 2θ 35.9, I = 18
hkl 2 0 -2, d 2.173, 2θ 41.6, I = 24
hkl 1 3 1, d 2.151, 2θ 42.0, I = 46
hkl 1 3 -2, d 1.982, 2θ 45.8, I = 14
hkl 1 3 2, d 1.650, 2θ 55.7, I = 14
hkl 3 3 -1, d 1.534, 2θ 60.3, I = 14
hkl 1 3 -3, d 1.523, 2θ 60.8, I = 14

Structure:
```
data_Li3Zn2SbO6
_chemical_formula_sum 'Li6 Zn4 Sb2 O12'
_space_group_name_H-M_alt 'C 1 2/m 1'
_space_group_IT_number 12
_cell_length_a 5.320
_cell_length_b 9.171
_cell_length_c 5.271
_cell_angle_alpha 90.00
_cell_angle_beta 110.29
_cell_angle_gamma 90.00
loop_
_space_group_symop_operation_xyz
'x,y,z'
'-x,-y,-z'
'-x,y,-z'
'x,-y,z'
'x+1/2,y+1/2,z'
'-x+1/2,-y+1/2,-z'
'-x+1/2,y+1/2,-z'
'x+1/2,-y+1/2,z'
loop_
_atom_site_label
_atom_site_type_symbol
_atom_site_fract_x
_atom_site_fract_y
_atom_site_fract_z
Li1 Li 0.000 0.000 0.000
Li2 Li 0.000 0.330 0.000
Zn1 Zn 0.000 0.167 0.500
Sb1 Sb 0.000 0.500 0.500
O1 O 0.235 0.500 0.271
O2 O 0.236 0.343 0.736
```



# 4
Calculated PXRD pattern of K2RbPdF5 for a wavelength of 1.5418 Å, from DFT lattice parameters and positions (PBE).

The 10 most intense peaks (10° ≤ 2θ ≤ 90°), sorted by position:
hkl 0 0 1, d 6.359, 2θ 13.9, I = 22
hkl 2 0 0, d 3.676, 2θ 24.2, I = 28
hkl 2 0 1, d 3.182, 2θ 28.0, I = 100
hkl 2 2 0, d 2.600, 2θ 34.5, I = 28
hkl 2 0 2, d 2.405, 2θ 37.4, I = 39
hkl 2 2 2, d 2.013, 2θ 45.0, I = 25
hkl 2 0 3, d 1.837, 2θ 49.6, I = 19
hkl 0 0 4, d 1.591, 2θ 58.0, I = 30
hkl 4 2 2, d 1.460, 2θ 63.7, I = 18
hkl 6 0 2, d 1.143, 2θ 84.8, I = 18

Structure:
```
data_K2RbPdF5
_chemical_formula_sum 'K4 Rb2 Pd2 F10'
_space_group_name_H-M_alt 'P 4/m b m'
_space_group_IT_number 127
_space_group_name_Hall '-P 4 2ab'
_cell_length_a 7.353
_cell_length_b 7.353
_cell_length_c 6.359
_cell_angle_alpha 90.00
_cell_angle_beta 90.00
_cell_angle_gamma 90.00
loop_
_atom_site_label
_atom_site_type_symbol
_atom_site_fract_x
_atom_site_fract_y
_atom_site_fract_z
K1 K 0.177 0.323 0.000
Rb1 Rb 0.000 0.000 0.500
Pd1 Pd 0.000 0.500 0.500
F1 F 0.000 0.000 0.000
F2 F 0.135 0.635 0.278
```



# 5
Calculated PXRD pattern of SrSb2Ru2 for a wavelength of 1.5418 Å, from DFT lattice parameters and positions (PBE).

The 10 most intense peaks (10° ≤ 2θ ≤ 90°), sorted by position:
hkl 0 0 2, d 5.721, 2θ 15.5, I = 37
hkl 1 0 3, d 2.908, 2θ 30.7, I = 100
hkl 1 1 2, d 2.778, 2θ 32.2, I = 70
hkl 2 0 0, d 2.247, 2θ 40.1, I = 81
hkl 1 1 4, d 2.126, 2θ 42.5, I = 59
hkl 2 1 3, d 1.778, 2θ 51.4, I = 46
hkl 1 1 6, d 1.635, 2θ 56.3, I = 32
hkl 2 2 0, d 1.589, 2θ 58.1, I = 27
hkl 3 1 4, d 1.273, 2θ 74.6, I = 21
hkl 3 1 6, d 1.139, 2θ 85.2, I = 20

Structure:
```
data_SrSb2Ru2
_chemical_formula_sum 'Sr2 Sb4 Ru4'
_space_group_name_H-M_alt 'I 4/m m m'
_space_group_IT_number 139
_space_group_name_Hall '-I 4 2'
_cell_length_a 4.494
_cell_length_b 4.494
_cell_length_c 11.441
_cell_angle_alpha 90.00
_cell_angle_beta 90.00
_cell_angle_gamma 90.00
loop_
_atom_site_label
_atom_site_type_symbol
_atom_site_fract_x
_atom_site_fract_y
_atom_site_fract_z
Sr1 Sr 0.000 0.000 0.000
Sb1 Sb 0.000 0.000 0.364
Ru1 Ru 0.000 0.500 0.250
```



# 6
Calculated PXRD pattern of CaCuGe for a wavelength of 1.5418 Å, from DFT lattice parameters and positions (PBE).

The 10 most intense peaks (10° ≤ 2θ ≤ 90°), sorted by position:
hkl 1 0 0, d 3.840, 2θ 23.2, I = 34
hkl 0 1 1, d 3.688, 2θ 24.1, I = 8
hkl 1 1 1, d 2.660, 2θ 33.7, I = 100
hkl 0 2 0, d 2.129, 2θ 42.5, I = 68
hkl 2 0 0, d 1.920, 2θ 47.3, I = 16
hkl 1 2 0, d 1.862, 2θ 48.9, I = 28
hkl 1 0 4, d 1.662, 2θ 55.3, I = 22
hkl 2 2 0, d 1.426, 2θ 65.5, I = 35
hkl 1 2 4, d 1.311, 2θ 72.0, I = 13
hkl 3 1 1, d 1.209, 2θ 79.2, I = 7

Structure:
```
data_CaCuGe
_chemical_formula_sum 'Ca2 Cu2 Ge2'
_space_group_name_H-M_alt 'A m m 2'
_space_group_IT_number 38
_cell_length_a 3.840
_cell_length_b 4.253
_cell_length_c 7.386
_cell_angle_alpha 90.00
_cell_angle_beta 90.00
_cell_angle_gamma 90.00
loop_
_space_group_symop_operation_xyz
'x,y,z'
'-x,-y,z'
'-x,y,z'
'x,-y,z'
'x,y+1/2,z+1/2'
'-x,-y+1/2,z+1/2'
'-x,y+1/2,z+1/2'
'x,-y+1/2,z+1/2'
loop_
_atom_site_label
_atom_site_type_symbol
_atom_site_fract_x
_atom_site_fract_y
_atom_site_fract_z
Ca1 Ca 0.000 0.000 0.000
Cu1 Cu 0.500 0.000 0.334
Ge1 Ge 0.500 0.000 0.667
```



# 7
Calculated PXRD pattern of Ba8Bi4H2O for a wavelength of 1.5418 Å, from DFT lattice parameters and positions (PBE).

The 10 most intense peaks (10° ≤ 2θ ≤ 90°), sorted by position:
hkl 1 1 0, d 3.756, 2θ 23.7, I = 30
hkl 1 1 4, d 3.502, 2θ 25.4, I = 64
hkl 0 0 12, d 3.225, 2θ 27.7, I = 30
hkl 1 1 8, d 2.967, 2θ 30.1, I = 100
hkl 1 0 11, d 2.933, 2θ 30.5, I = 20
hkl 2 0 0, d 2.656, 2θ 33.7, I = 63
hkl 2 0 12, d 2.050, 2θ 44.2, I = 33
hkl 2 2 0, d 1.878, 2θ 48.5, I = 23
hkl 2 2 12, d 1.623, 2θ 56.7, I = 16
hkl 3 1 8, d 1.587, 2θ 58.1, I = 32

Structure:
```
data_Ba8Bi4H2O
_chemical_formula_sum 'Ba16 Bi8 H4 O2'
_space_group_name_H-M_alt 'I 4/m m m'
_space_group_IT_number 139
_space_group_name_Hall '-I 4 2'
_cell_length_a 5.312
_cell_length_b 5.312
_cell_length_c 38.704
_cell_angle_alpha 90.00
_cell_angle_beta 90.00
_cell_angle_gamma 90.00
loop_
_atom_site_label
_atom_site_type_symbol
_atom_site_fract_x
_atom_site_fract_y
_atom_site_fract_z
Ba1 Ba 0.000 0.000 0.084
Ba2 Ba 0.000 0.000 0.340
Ba3 Ba 0.000 0.500 0.000
Ba4 Ba 0.000 0.500 0.250
Bi1 Bi 0.000 0.000 0.180
Bi2 Bi 0.000 0.000 0.433
H1 H 0.000 0.000 0.271
O1 O 0.000 0.000 0.000
```